Record 1
Diffraction record for PrNi2H8Ir. The powder X-ray diffraction pattern is theoretical, not measured: it uses a cell relaxed with PBE and CuKα.
Intensities are scaled so that the largest is 100.

Structure:
Cell lengths 6.1557, 6.1557, 6.1557 Å; angles 43.57, 43.57, 43.57 degrees
Positions (direct):
Pr  0.0000  0.0000  0.0000
Ni  0.2182  0.2182  0.2182
Ni  0.7818  0.7818  0.7818
H  0.1386  0.7831  0.4195
H  0.2169  0.5805  0.8614
H  0.3114  0.3114  0.3114
H  0.4195  0.1386  0.7831
H  0.5805  0.8614  0.2169
H  0.6886  0.6886  0.6886
H  0.7831  0.4195  0.1386
H  0.8614  0.2169  0.5805
Ir  0.5000  0.5000  0.5000

Largest 10 diffraction maxima, low angle first, 2θ = 10–90°:
2θ (°)	intensity
15.94	14
24.90	42
31.15	100
32.19	14
39.44	63
49.39	17
51.09	25
51.79	23
60.19	13
66.40	22

=====

Record 2
Diffraction record for Pr2NiH6Ir. The powder X-ray diffraction pattern is theoretical, not measured: it uses a cell relaxed with PBE and CuKα.
Intensities are scaled so that the largest is 100.

Structure:
Cell lengths 5.4325, 5.4325, 5.4325 Å; angles 124.41, 124.41, 82.51 degrees
Positions (direct):
Pr  0.2500  0.7500  0.5000
Pr  0.7500  0.2500  0.5000
Ni  0.0000  0.0000  0.0000
H  0.2024  0.2024  0.0000
H  0.2535  0.2535  0.5069
H  0.2535  0.7465  0.0000
H  0.7465  0.2535  0.0000
H  0.7465  0.7465  0.4931
H  0.7976  0.7976  0.0000
Ir  0.5000  0.5000  0.0000

Largest 10 diffraction maxima, low angle first, 2θ = 10–90°:
2θ (°)	intensity
20.63	17
33.27	100
35.44	42
44.36	12
50.99	15
58.01	20
62.25	33
69.85	12
74.57	10
84.54	7

=====

Record 3
Diffraction record for SiNi2HIr. The powder X-ray diffraction pattern is theoretical, not measured: it uses a cell relaxed with PBE and CuKα.
Intensities are scaled so that the largest is 100.

Structure:
Cell lengths 3.6301, 3.6301, 3.8303 Å; angles 90.00, 90.00, 90.00 degrees
Positions (direct):
Si  0.0000  0.0000  0.0000
Ni  0.0000  0.5000  0.5000
Ni  0.5000  0.0000  0.5000
H  0.5000  0.5000  0.5000
Ir  0.5000  0.5000  0.0000

Largest 10 diffraction maxima, low angle first, 2θ = 10–90°:
2θ (°)	intensity
24.52	45
34.03	38
42.39	100
47.47	18
50.27	31
54.15	11
62.10	14
71.63	21
84.81	13
89.03	24

=====

Record 4
Diffraction record for TmNiH8Ir2. The powder X-ray diffraction pattern is theoretical, not measured: it uses a cell relaxed with PBE and CuKα.
Intensities are scaled so that the largest is 100.

Structure:
Cell lengths 6.0628, 6.0628, 6.0628 Å; angles 43.97, 43.97, 43.97 degrees
Positions (direct):
Tm  0.0000  0.0000  0.0000
Ni  0.5000  0.5000  0.5000
H  0.1548  0.4134  0.7448
H  0.2552  0.8452  0.5866
H  0.3198  0.3198  0.3198
H  0.4134  0.7448  0.1548
H  0.5866  0.2552  0.8452
H  0.6802  0.6802  0.6802
H  0.7448  0.1548  0.4134
H  0.8452  0.5866  0.2552
Ir  0.2214  0.2214  0.2214
Ir  0.7786  0.7786  0.7786

Largest 10 diffraction maxima, low angle first, 2θ = 10–90°:
2θ (°)	intensity
23.27	22
31.53	100
35.65	42
39.72	75
51.57	25
54.42	13
65.71	22
66.99	23
69.45	13
72.08	13

=====

Please write out number 1 again, unchanged.
Diffraction record for PrNi2H8Ir. The powder X-ray diffraction pattern is theoretical, not measured: it uses a cell relaxed with PBE and CuKα.
Intensities are scaled so that the largest is 100.

Structure:
Cell lengths 6.1557, 6.1557, 6.1557 Å; angles 43.57, 43.57, 43.57 degrees
Positions (direct):
Pr  0.0000  0.0000  0.0000
Ni  0.2182  0.2182  0.2182
Ni  0.7818  0.7818  0.7818
H  0.1386  0.7831  0.4195
H  0.2169  0.5805  0.8614
H  0.3114  0.3114  0.3114
H  0.4195  0.1386  0.7831
H  0.5805  0.8614  0.2169
H  0.6886  0.6886  0.6886
H  0.7831  0.4195  0.1386
H  0.8614  0.2169  0.5805
Ir  0.5000  0.5000  0.5000

Largest 10 diffraction maxima, low angle first, 2θ = 10–90°:
2θ (°)	intensity
15.94	14
24.90	42
31.15	100
32.19	14
39.44	63
49.39	17
51.09	25
51.79	23
60.19	13
66.40	22